This entry pairs a crystal structure of Ba10Nd4YMo5O30 with its calculated powder X-ray diffraction pattern. Radiation: Cu Kα X-rays. Structure: a structure optimized by DFT (PBE+U).
Peak positions follow from Bragg's law for the DFT cell and can differ from measured ones.

Most intense lines, 2θ from 15° to 90°, in order of falling intensity:
| hkl | two_theta | Rel. int. |
| --- | --- | --- |
| 1 2 0 | 29.2 | 100 |
| 2 1 1 | 29.5 | 68 |
| 2 2 -6 | 42.2 | 37 |
| 1 1 7 | 29.3 | 33 |
| 0 2 6 | 41.4 | 21 |
| 1 -2 8 | 52.1 | 21 |
| 3 1 -5 | 52.0 | 21 |
| 0 3 -1 | 51.6 | 14 |
| 1 0 14 | 52.2 | 13 |
| 2 0 -12 | 60.4 | 12 |

Structural model:
a b c (Å): 6.063 6.112 25.088
angles (deg): 89.37 83.32 60.45
Element x y z (fractional)
Ba  0.001  0.255  0.251
Ba  0.203  0.648  0.452
Ba  0.208  0.148  0.950
Ba  0.391  0.049  0.647
Ba  0.401  0.549  0.152
Ba  0.599  0.451  0.848
Ba  0.609  0.951  0.353
Ba  0.792  0.852  0.050
Ba  0.797  0.352  0.548
Ba  0.999  0.745  0.749
Nd  0.100  0.203  0.100
Nd  0.301  0.601  0.302
Nd  0.699  0.399  0.698
Nd  0.900  0.797  0.900
Y  0.500  0.000  0.500
Mo  0.096  0.700  0.598
Mo  0.299  0.098  0.799
Mo  0.500  0.500  0.000
Mo  0.701  0.902  0.201
Mo  0.904  0.300  0.402
O  0.044  0.265  0.745
O  0.065  0.007  0.840
O  0.086  0.968  0.358
O  0.136  0.434  0.843
O  0.147  0.404  0.361
O  0.151  0.146  0.454
O  0.250  0.401  0.039
O  0.273  0.653  0.945
O  0.282  0.361  0.553
O  0.313  0.838  0.044
O  0.332  0.811  0.556
O  0.333  0.542  0.650
O  0.444  0.069  0.147
O  0.461  0.761  0.755
O  0.467  0.811  0.242
O  0.533  0.189  0.758
O  0.539  0.239  0.245
O  0.556  0.931  0.853
O  0.667  0.458  0.350
O  0.668  0.189  0.444
O  0.687  0.162  0.956
O  0.718  0.639  0.447
O  0.727  0.347  0.055
O  0.750  0.599  0.961
O  0.849  0.854  0.546
O  0.853  0.596  0.639
O  0.864  0.566  0.157
O  0.914  0.032  0.642
O  0.935  0.993  0.160
O  0.956  0.735  0.255